Record 1
For YNbN2O, the GGA-PBE geometry in OQMD gives the calculated powder X-ray diffraction pattern in this record (Cu Kα, 1.54184 Å).
Peak positions follow from Bragg's law for the DFT cell and can differ from measured ones.

Principal peaks in the range 5° ≤ 2θ ≤ 70°, in order of falling intensity:
2θ 31.9, I = 100.0
2θ 31.4, I = 26.8
2θ 45.2, I = 26.1
2θ 56.5, I = 21.4
2θ 31.6, I = 20.2
2θ 56.2, I = 19.8
2θ 57.1, I = 12.3
2θ 66.8, I = 12.1
2θ 46.4, I = 11.5
2θ 57.2, I = 10.2

Structure:
Cell lengths 7.8300, 5.6572, 5.6966 Å; angles 90.00, 90.00, 90.00 degrees
Fractional coordinates of all 20 atoms:
Y 0.0000 0.2233 0.0000
Y 0.0000 0.7767 0.5000
Y 0.5000 0.2767 0.0041
Y 0.5000 0.7233 0.5041
Nb 0.2499 0.2501 0.4931
Nb 0.2499 0.7499 0.9931
Nb 0.7501 0.2501 0.4931
Nb 0.7501 0.7499 0.9931
N 0.1843 0.0019 0.2710
N 0.1843 0.9981 0.7710
N 0.3156 0.4990 0.7739
N 0.3156 0.5010 0.2739
N 0.6844 0.4990 0.7739
N 0.6844 0.5010 0.2739
N 0.8157 0.0019 0.2710
N 0.8157 0.9981 0.7710
O 0.0000 0.3728 0.5308
O 0.0000 0.6272 0.0308
O 0.5000 0.1273 0.5278
O 0.5000 0.8727 0.0278


Record 2
For CsNb4Br11, the GGA-PBE geometry in OQMD gives the calculated powder X-ray diffraction pattern in this record (Cu Kα, 1.54184 Å).
Peak positions follow from Bragg's law for the DFT cell and can differ from measured ones.

Principal peaks in the range 5° ≤ 2θ ≤ 70°, in order of falling intensity:
2θ 34.6, I = 100.0
2θ 31.5, I = 97.0
2θ 45.3, I = 53.0
2θ 12.4, I = 46.2
2θ 32.7, I = 44.5
2θ 56.2, I = 38.7
2θ 29.2, I = 25.5
2θ 49.5, I = 25.1
2θ 12.0, I = 21.8
2θ 16.2, I = 20.4

Structure:
Cell lengths 17.0154, 7.3673, 7.1618 Å; angles 90.00, 90.00, 90.00 degrees
Fractional coordinates of all 32 atoms:
Cs 0.2500 0.0000 0.0070
Cs 0.7500 0.0000 0.9930
Nb 0.0000 0.2921 0.5000
Nb 0.0000 0.7079 0.5000
Nb 0.1389 0.5000 0.6206
Nb 0.3611 0.5000 0.6206
Nb 0.5000 0.2921 0.5000
Nb 0.5000 0.7079 0.5000
Nb 0.6389 0.5000 0.3794
Nb 0.8611 0.5000 0.3794
Br 0.0775 0.2460 0.8179
Br 0.0775 0.7540 0.8179
Br 0.0849 0.0000 0.3655
Br 0.0868 0.5000 0.2825
Br 0.2500 0.2640 0.4872
Br 0.2500 0.5000 0.9105
Br 0.2500 0.7360 0.4872
Br 0.4132 0.5000 0.2825
Br 0.4151 0.0000 0.3655
Br 0.4225 0.2460 0.8179
Br 0.4225 0.7540 0.8179
Br 0.5775 0.2460 0.1821
Br 0.5775 0.7540 0.1821
Br 0.5849 0.0000 0.6345
Br 0.5868 0.5000 0.7175
Br 0.7500 0.2640 0.5128
Br 0.7500 0.5000 0.0895
Br 0.7500 0.7360 0.5128
Br 0.9132 0.5000 0.7175
Br 0.9151 0.0000 0.6345
Br 0.9225 0.2460 0.1821
Br 0.9225 0.7540 0.1821


Record 3
For Nb2Te3, the GGA-PBE geometry in OQMD gives the calculated powder X-ray diffraction pattern in this record (Cu Kα, 1.54184 Å).
Peak positions follow from Bragg's law for the DFT cell and can differ from measured ones.

Principal peaks in the range 5° ≤ 2θ ≤ 70°, in order of falling intensity:
2θ 30.1, I = 100.0
2θ 38.0, I = 66.6
2θ 47.9, I = 37.1
2θ 48.6, I = 23.2
2θ 57.6, I = 15.1
2θ 62.7, I = 14.6
2θ 53.6, I = 8.5
2θ 26.1, I = 6.6
2θ 12.9, I = 5.4
2θ 55.3, I = 4.6

Structure:
Cell lengths 7.8216, 7.8216, 7.8216 Å; angles 49.76, 49.76, 49.76 degrees
Fractional coordinates of all 10 atoms:
Nb 0.0000 0.0000 0.0000
Nb 0.1636 0.1636 0.1636
Nb 0.5000 0.5000 0.5000
Nb 0.8364 0.8364 0.8364
Te 0.0765 0.4266 0.7353
Te 0.2647 0.9235 0.5734
Te 0.4266 0.7353 0.0765
Te 0.5734 0.2647 0.9235
Te 0.7353 0.0765 0.4266
Te 0.9235 0.5734 0.2647


Record 4
For Hf2Nb4P3N3, the GGA-PBE geometry in OQMD gives the calculated powder X-ray diffraction pattern in this record (Cu Kα, 1.54184 Å).
Peak positions follow from Bragg's law for the DFT cell and can differ from measured ones.

Principal peaks in the range 5° ≤ 2θ ≤ 70°, in order of falling intensity:
2θ 38.9, I = 100.0
2θ 39.1, I = 48.5
2θ 32.1, I = 30.8
2θ 31.2, I = 28.7
2θ 55.2, I = 28.2
2θ 30.7, I = 20.7
2θ 15.2, I = 17.7
2θ 64.7, I = 15.9
2θ 32.0, I = 15.5
2θ 31.0, I = 13.6

Structure:
Cell lengths 5.7427, 5.7427, 12.0883 Å; angles 103.51, 103.51, 60.32 degrees
Fractional coordinates of all 24 atoms:
Hf 0.0340 0.8603 0.6036
Hf 0.1397 0.9660 0.8964
Hf 0.8603 0.0340 0.1036
Hf 0.9660 0.1397 0.3964
Nb 0.1976 0.3792 0.0955
Nb 0.3148 0.4535 0.4041
Nb 0.3792 0.1976 0.5955
Nb 0.4535 0.3148 0.9041
Nb 0.5465 0.6852 0.0959
Nb 0.6208 0.8024 0.4045
Nb 0.6852 0.5465 0.5959
Nb 0.8024 0.6208 0.9045
P 0.0805 0.2662 0.7487
P 0.2662 0.0805 0.2487
P 0.4308 0.5692 0.7500
P 0.5692 0.4308 0.2500
P 0.7338 0.9195 0.7513
P 0.9195 0.7338 0.2513
N 0.0000 0.5000 0.5000
N 0.1540 0.6938 0.0003
N 0.3062 0.8460 0.4997
N 0.5000 0.0000 0.0000
N 0.6938 0.1540 0.5003
N 0.8460 0.3062 0.9997


Copy entry 2 word for word.
For CsNb4Br11, the GGA-PBE geometry in OQMD gives the calculated powder X-ray diffraction pattern in this record (Cu Kα, 1.54184 Å).
Peak positions follow from Bragg's law for the DFT cell and can differ from measured ones.

Principal peaks in the range 5° ≤ 2θ ≤ 70°, in order of falling intensity:
2θ 34.6, I = 100.0
2θ 31.5, I = 97.0
2θ 45.3, I = 53.0
2θ 12.4, I = 46.2
2θ 32.7, I = 44.5
2θ 56.2, I = 38.7
2θ 29.2, I = 25.5
2θ 49.5, I = 25.1
2θ 12.0, I = 21.8
2θ 16.2, I = 20.4

Structure:
Cell lengths 17.0154, 7.3673, 7.1618 Å; angles 90.00, 90.00, 90.00 degrees
Fractional coordinates of all 32 atoms:
Cs 0.2500 0.0000 0.0070
Cs 0.7500 0.0000 0.9930
Nb 0.0000 0.2921 0.5000
Nb 0.0000 0.7079 0.5000
Nb 0.1389 0.5000 0.6206
Nb 0.3611 0.5000 0.6206
Nb 0.5000 0.2921 0.5000
Nb 0.5000 0.7079 0.5000
Nb 0.6389 0.5000 0.3794
Nb 0.8611 0.5000 0.3794
Br 0.0775 0.2460 0.8179
Br 0.0775 0.7540 0.8179
Br 0.0849 0.0000 0.3655
Br 0.0868 0.5000 0.2825
Br 0.2500 0.2640 0.4872
Br 0.2500 0.5000 0.9105
Br 0.2500 0.7360 0.4872
Br 0.4132 0.5000 0.2825
Br 0.4151 0.0000 0.3655
Br 0.4225 0.2460 0.8179
Br 0.4225 0.7540 0.8179
Br 0.5775 0.2460 0.1821
Br 0.5775 0.7540 0.1821
Br 0.5849 0.0000 0.6345
Br 0.5868 0.5000 0.7175
Br 0.7500 0.2640 0.5128
Br 0.7500 0.5000 0.0895
Br 0.7500 0.7360 0.5128
Br 0.9132 0.5000 0.7175
Br 0.9151 0.0000 0.6345
Br 0.9225 0.2460 0.1821
Br 0.9225 0.7540 0.1821